Simulated X-ray diffraction stick pattern
Compound: PuCd12Hg7
Radiation: a wavelength of 1.5418 Å
Structure: a crystal structure in Alexandria, relaxed with PBE
Kinematic intensities with the Lorentz-polarization factor, no thermal factor.

Structure:
Lattice parameters (Å, degrees): 8.487 8.487 8.487 108.04 108.04 108.04
Atoms (fractional coordinates):
Pu1 0.000 0.000 0.000
Cd1 0.120 0.834 0.305
Cd2 0.166 0.695 0.880
Cd3 0.185 0.608 0.500
Cd4 0.305 0.120 0.834
Cd5 0.392 0.500 0.815
Cd6 0.500 0.185 0.608
Cd7 0.500 0.815 0.392
Cd8 0.608 0.500 0.185
Cd9 0.695 0.880 0.166
Cd10 0.815 0.392 0.500
Cd11 0.834 0.305 0.120
Cd12 0.880 0.166 0.695
Hg1 0.079 0.194 0.431
Hg2 0.194 0.431 0.079
Hg3 0.431 0.079 0.194
Hg4 0.500 0.500 0.500
Hg5 0.569 0.921 0.806
Hg6 0.806 0.569 0.921
Hg7 0.921 0.806 0.569

Principal peaks in the range 10° ≤ 2θ ≤ 80°, sorted by position:
d_spacing  Position (°2θ)  Rel. int.
2.767  32.35  39
2.668  33.59  40
2.613  34.32  17
2.596  34.56  100
2.404  37.40  36
2.269  39.72  35

---

Simulated X-ray diffraction stick pattern
Compound: LiTlP2PbO
Radiation: a wavelength of 1.5418 Å
Structure: a crystal structure in Alexandria, relaxed with PBE
Kinematic intensities with the Lorentz-polarization factor, no thermal factor.

Structure:
Lattice parameters (Å, degrees): 5.940 3.312 7.289 90.00 108.92 90.00
Atoms (fractional coordinates):
Li1 0.000 0.000 0.000
Tl1 0.944 0.500 0.394
P1 0.263 0.500 0.793
P2 0.528 0.000 0.843
Pb1 0.467 0.000 0.442
O1 0.143 0.500 0.959

Principal peaks in the range 10° ≤ 2θ ≤ 80°, sorted by position:
d_spacing  Position (°2θ)  Rel. int.
6.895  12.84  100
3.448  25.84  36
2.959  30.21  22
2.853  31.35  44
2.806  31.89  57
2.401  37.46  22

---

Simulated X-ray diffraction stick pattern
Compound: W5C3
Radiation: a wavelength of 1.5418 Å
Structure: a crystal structure in Alexandria, relaxed with PBE
Kinematic intensities with the Lorentz-polarization factor, no thermal factor.

Structure:
Lattice parameters (Å, degrees): 6.607 6.607 6.607 99.12 99.12 133.09
Atoms (fractional coordinates):
W1 0.000 0.500 0.500
W2 0.145 0.423 0.148
W3 0.276 0.998 0.852
W4 0.423 0.276 0.278
W5 0.498 0.776 0.852
W6 0.500 0.000 0.500
W7 0.645 0.498 0.722
W8 0.776 0.923 0.278
W9 0.923 0.645 0.148
W10 0.998 0.145 0.722
C1 0.253 0.383 0.500
C2 0.383 0.883 0.130
C3 0.471 0.471 0.000
C4 0.753 0.253 0.870
C5 0.883 0.753 0.500
C6 0.971 0.971 0.000

Principal peaks in the range 10° ≤ 2θ ≤ 80°, sorted by position:
d_spacing  Position (°2θ)  Rel. int.
3.098  28.82  55
2.710  33.05  70
2.413  37.27  42
2.166  41.70  77
1.986  45.68  91
1.933  47.00  100

---

Simulated X-ray diffraction stick pattern
Compound: Rb2Tl6BiPt
Radiation: a wavelength of 1.5418 Å
Structure: a crystal structure in Alexandria, relaxed with PBE
Kinematic intensities with the Lorentz-polarization factor, no thermal factor.

Structure:
Lattice parameters (Å, degrees): 13.142 13.142 13.142 38.90 38.90 38.90
Atoms (fractional coordinates):
Rb1 0.149 0.149 0.149
Rb2 0.281 0.281 0.281
Rb3 0.719 0.719 0.719
Rb4 0.851 0.851 0.851
Tl1 0.173 0.587 0.587
Tl2 0.185 0.185 0.796
Tl3 0.185 0.796 0.185
Tl4 0.204 0.815 0.815
Tl5 0.413 0.413 0.827
Tl6 0.413 0.827 0.413
Tl7 0.587 0.173 0.587
Tl8 0.587 0.587 0.173
Tl9 0.796 0.185 0.185
Tl10 0.815 0.204 0.815
Tl11 0.815 0.815 0.204
Tl12 0.827 0.413 0.413
Bi1 0.378 0.378 0.378
Bi2 0.622 0.622 0.622
Pt1 0.000 0.000 0.000
Pt2 0.500 0.500 0.500

Principal peaks in the range 10° ≤ 2θ ≤ 80°, sorted by position:
d_spacing  Position (°2θ)  Rel. int.
6.996  12.65  100
3.361  26.52  49
2.912  30.71  52
2.666  33.62  40
2.473  36.32  38
2.188  41.26  40